Diffraction record for K2BaHgCl6. The X-ray diffraction stick pattern is simulated, not measured: it uses a PBE-relaxed structure and copper Kα.
Kinematic intensities with the Lorentz-polarization factor, no thermal factor.

Main lines, most intense first (2θ = 10–80°):
Position (°2θ), d/Å, I_rel, h k l
16.03, 5.528, 100, 0 1 2
22.41, 3.967, 62, 1 0 4
35.90, 2.502, 57, 2 -1 6
23.08, 3.854, 48, 1 1 0
32.39, 2.764, 46, 0 2 4
40.15, 2.246, 35, 3 -1 4
40.55, 2.225, 32, 3 0 0
26.81, 3.325, 21, 2 -1 3

Structural model:
```
data_K2BaHgCl6
_space_group_name_H-M_alt 'R 3'
_space_group_IT_number 146
_space_group_name_Hall 'R 3'
_cell_length_a 7.7071
_cell_length_b 7.7071
_cell_length_c 19.7327
_cell_angle_alpha 90.00
_cell_angle_beta 90.00
_cell_angle_gamma 120.00
loop_
_atom_site_label
_atom_site_fract_x
_atom_site_fract_y
_atom_site_fract_z
K1 0.0000 0.0000 0.0000
K2 0.0000 0.0000 0.4983
Ba1 0.0000 0.0000 0.2149
Hg1 0.0000 0.0000 0.7117
Cl1 0.0061 0.3955 0.4474
Cl2 0.0725 0.6977 0.2885
```